[1]
Diffraction record for Ce16Ru9. The powder X-ray diffraction pattern is simulated, not measured: it uses a DFT-relaxed cell (PBE, the Materials Project) and Cu Kα X-rays.
Neutral-atom scattering factors, no anomalous dispersion.

Unit cell a=10.831 b=10.831 c=10.831 alpha=77.12 beta=77.12 gamma=77.12
Fractional positions:
1 Ce 0.000 0.000 0.000
2 Ce 0.000 0.281 0.719
3 Ce 0.000 0.719 0.281
4 Ce 0.050 0.797 0.797
5 Ce 0.157 0.157 0.432
6 Ce 0.157 0.432 0.157
7 Ce 0.196 0.468 0.468
8 Ce 0.203 0.203 0.950
9 Ce 0.203 0.950 0.203
10 Ce 0.205 0.500 0.795
11 Ce 0.205 0.795 0.500
12 Ce 0.281 0.000 0.719
13 Ce 0.281 0.719 0.000
14 Ce 0.432 0.157 0.157
15 Ce 0.468 0.196 0.468
16 Ce 0.468 0.468 0.196
17 Ce 0.500 0.205 0.795
18 Ce 0.500 0.500 0.500
19 Ce 0.500 0.795 0.205
20 Ce 0.532 0.532 0.804
21 Ce 0.532 0.804 0.532
22 Ce 0.568 0.843 0.843
23 Ce 0.719 0.000 0.281
24 Ce 0.719 0.281 0.000
25 Ce 0.795 0.205 0.500
26 Ce 0.795 0.500 0.205
27 Ce 0.797 0.050 0.797
28 Ce 0.797 0.797 0.050
29 Ce 0.804 0.532 0.532
30 Ce 0.843 0.568 0.843
31 Ce 0.843 0.843 0.568
32 Ce 0.950 0.203 0.203
33 Ru 0.004 0.624 0.624
34 Ru 0.012 0.012 0.636
35 Ru 0.012 0.636 0.012
36 Ru 0.272 0.272 0.649
37 Ru 0.272 0.649 0.272
38 Ru 0.351 0.728 0.728
39 Ru 0.364 0.988 0.988
40 Ru 0.376 0.376 0.996
41 Ru 0.376 0.996 0.376
42 Ru 0.624 0.004 0.624
43 Ru 0.624 0.624 0.004
44 Ru 0.636 0.012 0.012
45 Ru 0.649 0.272 0.272
46 Ru 0.728 0.351 0.728
47 Ru 0.728 0.728 0.351
48 Ru 0.988 0.364 0.988
49 Ru 0.988 0.988 0.364
50 Ru 0.996 0.376 0.376

Peak list (10 most intense, 2θ = 10–90°, by angle)
2θ/deg	I/Imax
28.64	27
31.62	31
31.83	26
32.67	64
33.11	100
34.56	25
37.21	73
40.07	58
58.07	34
85.40	16

***

[2]
Diffraction record for La4MgNi. The powder X-ray diffraction pattern is simulated, not measured: it uses a DFT-relaxed cell (PBE, the Materials Project) and Cu Kα X-rays.
Neutral-atom scattering factors, no anomalous dispersion.

Unit cell a=10.108 b=10.108 c=10.108 alpha=60.00 beta=60.00 gamma=60.00
Fractional positions:
1 La 0.186 0.186 0.814
2 La 0.186 0.814 0.186
3 La 0.186 0.814 0.814
4 La 0.406 0.406 0.406
5 La 0.406 0.406 0.782
6 La 0.406 0.782 0.406
7 La 0.562 0.562 0.938
8 La 0.562 0.938 0.562
9 La 0.562 0.938 0.938
10 La 0.782 0.406 0.406
11 La 0.814 0.186 0.186
12 La 0.814 0.186 0.814
13 La 0.814 0.814 0.186
14 La 0.938 0.562 0.562
15 La 0.938 0.562 0.938
16 La 0.938 0.938 0.562
17 Mg 0.171 0.171 0.171
18 Mg 0.171 0.171 0.488
19 Mg 0.171 0.488 0.171
20 Mg 0.488 0.171 0.171
21 Ni 0.174 0.609 0.609
22 Ni 0.609 0.174 0.609
23 Ni 0.609 0.609 0.174
24 Ni 0.609 0.609 0.609

Peak list (10 most intense, 2θ = 10–90°, by angle)
2θ/deg	I/Imax
10.72	16
27.19	51
30.64	63
32.55	100
35.52	29
52.39	18
54.47	59
55.68	14
81.67	17
83.35	16

***

[3]
Diffraction record for PaTc2Ge. The powder X-ray diffraction pattern is simulated, not measured: it uses a DFT-relaxed cell (PBE, the Materials Project) and Cu Kα X-rays.
Neutral-atom scattering factors, no anomalous dispersion.

Unit cell a=6.535 b=6.535 c=6.535 alpha=90.00 beta=90.00 gamma=90.00
Fractional positions:
1 Pa 0.000 0.000 0.000
2 Pa 0.000 0.500 0.500
3 Pa 0.500 0.000 0.500
4 Pa 0.500 0.500 0.000
5 Tc 0.250 0.250 0.250
6 Tc 0.250 0.250 0.750
7 Tc 0.250 0.750 0.250
8 Tc 0.250 0.750 0.750
9 Tc 0.750 0.250 0.250
10 Tc 0.750 0.250 0.750
11 Tc 0.750 0.750 0.250
12 Tc 0.750 0.750 0.750
13 Ge 0.000 0.000 0.500
14 Ge 0.000 0.500 0.000
15 Ge 0.500 0.000 0.000
16 Ge 0.500 0.500 0.500

Peak list (10 most intense, 2θ = 10–90°, by angle)
2θ/deg	I/Imax
23.58	21
27.29	5
38.98	100
46.07	12
56.31	17
61.89	5
70.61	35
75.61	4
83.72	11
88.52	4

***

[4]
Diffraction record for Cu7S4N. The powder X-ray diffraction pattern is simulated, not measured: it uses a DFT-relaxed cell (PBE, the Materials Project) and Cu Kα X-rays.
Neutral-atom scattering factors, no anomalous dispersion.

Unit cell a=3.780 b=7.399 c=7.442 alpha=84.43 beta=75.36 gamma=75.64
Fractional positions:
1 Cu 0.000 0.000 0.000
2 Cu 0.030 0.663 0.253
3 Cu 0.316 0.746 0.735
4 Cu 0.418 0.953 0.278
5 Cu 0.677 0.729 0.982
6 Cu 0.714 0.411 0.139
7 Cu 0.842 0.908 0.530
8 S 0.260 0.512 0.973
9 S 0.435 0.664 0.439
10 S 0.582 0.006 0.818
11 S 0.825 0.133 0.281
12 N 0.026 0.331 0.629

Peak list (10 most intense, 2θ = 10–90°, by angle)
2θ/deg	I/Imax
12.34	100
35.90	11
36.06	16
39.69	10
43.22	17
43.42	15
44.31	16
44.56	14
48.15	16
50.75	8

***

[5]
Diffraction record for NdY3. The powder X-ray diffraction pattern is simulated, not measured: it uses a DFT-relaxed cell (PBE, the Materials Project) and Cu Kα X-rays.
Neutral-atom scattering factors, no anomalous dispersion.

Unit cell a=5.103 b=5.103 c=10.209 alpha=90.00 beta=90.00 gamma=90.00
Fractional positions:
1 Nd 0.000 0.000 0.000
2 Nd 0.500 0.500 0.500
3 Y 0.000 0.000 0.500
4 Y 0.000 0.500 0.250
5 Y 0.000 0.500 0.750
6 Y 0.500 0.000 0.250
7 Y 0.500 0.000 0.750
8 Y 0.500 0.500 0.000

Peak list (10 most intense, 2θ = 10–90°, by angle)
2θ/deg	I/Imax
19.45	5
30.34	100
35.17	50
40.51	2
50.59	35
60.13	41
63.11	12
74.35	5
82.37	17
85.00	15

***

[6]
Diffraction record for PdC4S4I2N8. The powder X-ray diffraction pattern is simulated, not measured: it uses a DFT-relaxed cell (PBE, the Materials Project) and Cu Kα X-rays.
Neutral-atom scattering factors, no anomalous dispersion.

Unit cell a=8.478 b=8.478 c=11.660 alpha=90.85 beta=90.85 gamma=76.87
Fractional positions:
1 Pd 0.000 0.500 0.000
2 Pd 0.500 0.000 0.500
3 C 0.006 0.840 0.087
4 C 0.076 0.534 0.776
5 C 0.160 0.994 0.413
6 C 0.466 0.924 0.724
7 C 0.534 0.076 0.276
8 C 0.840 0.006 0.587
9 C 0.924 0.466 0.224
10 C 0.994 0.160 0.913
11 S 0.118 0.503 0.190
12 S 0.142 0.225 0.972
13 S 0.225 0.142 0.472
14 S 0.497 0.882 0.310
15 S 0.503 0.118 0.690
16 S 0.775 0.858 0.528
17 S 0.858 0.775 0.028
18 S 0.882 0.497 0.810
19 I 0.291 0.654 0.619
20 I 0.346 0.709 0.881
21 I 0.654 0.291 0.119
22 I 0.709 0.346 0.381
23 N 0.044 0.930 0.358
24 N 0.070 0.956 0.142
25 N 0.102 0.555 0.667
26 N 0.163 0.542 0.872
27 N 0.167 0.808 0.115
28 N 0.192 0.833 0.385
29 N 0.445 0.898 0.833
30 N 0.458 0.837 0.628
31 N 0.542 0.163 0.372
32 N 0.555 0.102 0.167
33 N 0.808 0.167 0.615
34 N 0.833 0.192 0.885
35 N 0.837 0.458 0.128
36 N 0.898 0.445 0.333
37 N 0.930 0.044 0.858
38 N 0.956 0.070 0.642

Peak list (10 most intense, 2θ = 10–90°, by angle)
2θ/deg	I/Imax
13.21	100
16.82	44
18.48	19
22.77	23
22.96	38
25.45	18
26.24	25
26.86	18
33.35	19
33.82	14

***

[7]
Diffraction record for Tm3Al2. The powder X-ray diffraction pattern is simulated, not measured: it uses a DFT-relaxed cell (PBE, the Materials Project) and Cu Kα X-rays.
Neutral-atom scattering factors, no anomalous dispersion.

Unit cell a=8.121 b=8.121 c=7.497 alpha=90.00 beta=90.00 gamma=90.00
Fractional positions:
1 Tm 0.000 0.500 0.250
2 Tm 0.000 0.500 0.750
3 Tm 0.151 0.151 0.000
4 Tm 0.203 0.203 0.500
5 Tm 0.297 0.703 0.000
6 Tm 0.349 0.651 0.500
7 Tm 0.500 0.000 0.250
8 Tm 0.500 0.000 0.750
9 Tm 0.651 0.349 0.500
10 Tm 0.703 0.297 0.000
11 Tm 0.797 0.797 0.500
12 Tm 0.849 0.849 0.000
13 Al 0.119 0.881 0.304
14 Al 0.119 0.881 0.696
15 Al 0.381 0.381 0.196
16 Al 0.381 0.381 0.804
17 Al 0.619 0.619 0.196
18 Al 0.619 0.619 0.804
19 Al 0.881 0.119 0.304
20 Al 0.881 0.119 0.696

Peak list (10 most intense, 2θ = 10–90°, by angle)
2θ/deg	I/Imax
24.51	50
28.43	50
31.15	38
32.51	100
34.38	80
34.94	66
37.00	25
52.48	20
53.77	30
61.22	23

***

[8]
Diffraction record for BeVCo2. The powder X-ray diffraction pattern is simulated, not measured: it uses a DFT-relaxed cell (PBE, the Materials Project) and Cu Kα X-rays.
Neutral-atom scattering factors, no anomalous dispersion.

Unit cell a=5.503 b=5.503 c=5.503 alpha=90.00 beta=90.00 gamma=90.00
Fractional positions:
1 Be 0.000 0.000 0.000
2 Be 0.000 0.500 0.500
3 Be 0.500 0.000 0.500
4 Be 0.500 0.500 0.000
5 V 0.000 0.000 0.500
6 V 0.000 0.500 0.000
7 V 0.500 0.000 0.000
8 V 0.500 0.500 0.500
9 Co 0.250 0.250 0.250
10 Co 0.250 0.250 0.750
11 Co 0.250 0.750 0.250
12 Co 0.250 0.750 0.750
13 Co 0.750 0.250 0.250
14 Co 0.750 0.250 0.750
15 Co 0.750 0.750 0.250
16 Co 0.750 0.750 0.750

Peak list (9 most intense, 2θ = 10–90°, by angle)
2θ/deg	I/Imax
28.09	17
32.54	21
46.69	100
55.38	7
58.07	5
68.17	15
75.28	2
77.59	6
86.68	29

***

[9]
Diffraction record for MnBe2Ru. The powder X-ray diffraction pattern is simulated, not measured: it uses a DFT-relaxed cell (PBE, the Materials Project) and Cu Kα X-rays.
Neutral-atom scattering factors, no anomalous dispersion.

Unit cell a=5.535 b=5.535 c=5.535 alpha=90.00 beta=90.00 gamma=90.00
Fractional positions:
1 Mn 0.000 0.000 0.000
2 Mn 0.000 0.500 0.500
3 Mn 0.500 0.000 0.500
4 Mn 0.500 0.500 0.000
5 Be 0.250 0.250 0.250
6 Be 0.250 0.250 0.750
7 Be 0.250 0.750 0.250
8 Be 0.250 0.750 0.750
9 Be 0.750 0.250 0.250
10 Be 0.750 0.250 0.750
11 Be 0.750 0.750 0.250
12 Be 0.750 0.750 0.750
13 Ru 0.000 0.000 0.500
14 Ru 0.000 0.500 0.000
15 Ru 0.500 0.000 0.000
16 Ru 0.500 0.500 0.500

Peak list (9 most intense, 2θ = 10–90°, by angle)
2θ/deg	I/Imax
27.92	20
32.35	100
46.40	96
55.03	10
57.70	24
67.72	15
74.77	4
77.06	29
86.06	30